1.
LiCoSiO4: computed powder diffractogram (Cu Kα (λ = 1.5418 Å)), based on the PBE+U geometry in the Materials Project.
Lines closer than 0.1° are merged.

Most intense lines, 10 to 80 degrees two-theta, by intensity:
25.73 deg, rel. 100
36.03 deg, rel. 88
30.85 deg, rel. 51
17.46 deg, rel. 49
20.57 deg, rel. 46
52.88 deg, rel. 34

Crystal structure
a = 10.156 Å, b = 5.796 Å, c = 4.771 Å
α = 90.00°, β = 90.00°, γ = 90.00°
Atoms (fractional coordinates):
Li 0.000 0.000 0.000
Li 0.000 0.500 0.000
Li 0.500 0.000 0.500
Li 0.500 0.500 0.500
Co 0.224 0.250 0.483
Co 0.276 0.750 0.983
Co 0.724 0.250 0.017
Co 0.776 0.750 0.517
Si 0.093 0.750 0.444
Si 0.407 0.250 0.944
Si 0.593 0.750 0.056
Si 0.907 0.250 0.556
O 0.055 0.250 0.689
O 0.101 0.750 0.784
O 0.172 0.532 0.288
O 0.172 0.968 0.288
O 0.328 0.032 0.788
O 0.328 0.468 0.788
O 0.399 0.250 0.284
O 0.445 0.750 0.189
O 0.555 0.250 0.811
O 0.601 0.750 0.716
O 0.672 0.532 0.212
O 0.672 0.968 0.212
O 0.828 0.032 0.712
O 0.828 0.468 0.712
O 0.899 0.250 0.216
O 0.945 0.750 0.311

2.
Li2CoSi3O8: computed powder diffractogram (Cu Kα (λ = 1.5418 Å)), based on the PBE+U geometry in the Materials Project.
Lines closer than 0.1° are merged.

Most intense lines, 10 to 80 degrees two-theta, by intensity:
22.39 deg, rel. 100
19.67 deg, rel. 75
26.62 deg, rel. 70
20.54 deg, rel. 41
14.08 deg, rel. 40
35.47 deg, rel. 28

Crystal structure
a = 6.549 Å, b = 8.647 Å, c = 6.687 Å
α = 90.00°, β = 106.24°, γ = 90.00°
Atoms (fractional coordinates):
Li 0.016 0.000 0.003
Li 0.380 0.537 0.759
Li 0.620 0.037 0.241
Li 0.984 0.500 0.997
Co 0.459 0.733 0.114
Co 0.541 0.233 0.886
Si 0.102 0.262 0.465
Si 0.246 0.930 0.409
Si 0.364 0.396 0.214
Si 0.636 0.896 0.786
Si 0.754 0.430 0.591
Si 0.898 0.762 0.535
O 0.089 0.081 0.385
O 0.129 0.368 0.266
O 0.139 0.791 0.513
O 0.263 0.891 0.178
O 0.284 0.302 0.674
O 0.305 0.531 0.036
O 0.457 0.237 0.149
O 0.477 0.973 0.571
O 0.523 0.473 0.429
O 0.543 0.737 0.851
O 0.695 0.031 0.964
O 0.716 0.802 0.326
O 0.737 0.391 0.822
O 0.861 0.291 0.487
O 0.871 0.868 0.734
O 0.911 0.581 0.615

3.
LiCoSiO4: computed powder diffractogram (Cu Kα (λ = 1.5418 Å)), based on the PBE+U geometry in the Materials Project.
Lines closer than 0.1° are merged.

Most intense lines, 10 to 80 degrees two-theta, by intensity:
26.01 deg, rel. 100
31.31 deg, rel. 100
21.94 deg, rel. 100
34.64 deg, rel. 97
66.51 deg, rel. 53
49.33 deg, rel. 44

Crystal structure
a = 8.512 Å, b = 8.512 Å, c = 8.512 Å
α = 107.19°, β = 107.19°, γ = 107.19°
Atoms (fractional coordinates):
Li 0.044 0.445 0.272
Li 0.272 0.044 0.445
Li 0.445 0.272 0.044
Li 0.555 0.728 0.956
Li 0.728 0.956 0.555
Li 0.956 0.555 0.728
Co 0.068 0.301 0.896
Co 0.104 0.932 0.699
Co 0.301 0.896 0.068
Co 0.699 0.104 0.932
Co 0.896 0.068 0.301
Co 0.932 0.699 0.104
Si 0.230 0.405 0.633
Si 0.367 0.770 0.595
Si 0.405 0.633 0.230
Si 0.595 0.367 0.770
Si 0.633 0.230 0.405
Si 0.770 0.595 0.367
O 0.114 0.428 0.751
O 0.138 0.798 0.841
O 0.141 0.200 0.473
O 0.159 0.862 0.202
O 0.200 0.473 0.141
O 0.202 0.159 0.862
O 0.237 0.553 0.540
O 0.249 0.886 0.572
O 0.428 0.751 0.114
O 0.447 0.460 0.763
O 0.460 0.763 0.447
O 0.473 0.141 0.200
O 0.527 0.859 0.800
O 0.540 0.237 0.553
O 0.553 0.540 0.237
O 0.572 0.249 0.886
O 0.751 0.114 0.428
O 0.763 0.447 0.460
O 0.798 0.841 0.138
O 0.800 0.527 0.859
O 0.841 0.138 0.798
O 0.859 0.800 0.527
O 0.862 0.202 0.159
O 0.886 0.572 0.249

4.
LiCoSiO4: computed powder diffractogram (Cu Kα (λ = 1.5418 Å)), based on the PBE+U geometry in the Materials Project.
Lines closer than 0.1° are merged.

Most intense lines, 10 to 80 degrees two-theta, by intensity:
21.63 deg, rel. 100
21.88 deg, rel. 63
22.07 deg, rel. 56
35.28 deg, rel. 35
31.85 deg, rel. 31
34.39 deg, rel. 29

Crystal structure
a = 5.088 Å, b = 5.215 Å, c = 8.352 Å
α = 90.00°, β = 127.02°, γ = 90.00°
Atoms (fractional coordinates):
Li 0.000 0.172 0.000
Li 0.000 0.828 0.500
Co 0.502 0.179 0.497
Co 0.502 0.821 0.997
Si 0.255 0.312 0.750
Si 0.255 0.688 0.250
O 0.221 0.378 0.267
O 0.221 0.622 0.767
O 0.334 0.157 0.947
O 0.334 0.843 0.447
O 0.558 0.251 0.735
O 0.558 0.749 0.235
O 0.915 0.190 0.551
O 0.915 0.810 0.051

5.
LiCoSi2O6: computed powder diffractogram (Cu Kα (λ = 1.5418 Å)), based on the PBE+U geometry in the Materials Project.
Lines closer than 0.1° are merged.

Most intense lines, 10 to 80 degrees two-theta, by intensity:
29.67 deg, rel. 100
31.06 deg, rel. 61
14.04 deg, rel. 58
25.19 deg, rel. 37
19.83 deg, rel. 34
35.84 deg, rel. 33

Crystal structure
a = 6.536 Å, b = 6.536 Å, c = 5.340 Å
α = 104.92°, β = 104.92°, γ = 83.48°
Atoms (fractional coordinates):
Li 0.241 0.759 0.750
Li 0.759 0.241 0.250
Co 0.400 0.600 0.250
Co 0.600 0.400 0.750
Si 0.115 0.294 0.735
Si 0.294 0.115 0.235
Si 0.706 0.885 0.765
Si 0.885 0.706 0.265
O 0.129 0.612 0.328
O 0.141 0.148 0.443
O 0.148 0.141 0.943
O 0.297 0.471 0.849
O 0.388 0.871 0.172
O 0.471 0.297 0.349
O 0.529 0.703 0.651
O 0.612 0.129 0.828
O 0.703 0.529 0.151
O 0.852 0.859 0.057
O 0.859 0.852 0.557
O 0.871 0.388 0.672

6.
LiCoSi2O6: computed powder diffractogram (Cu Kα (λ = 1.5418 Å)), based on the PBE+U geometry in the Materials Project.
Lines closer than 0.1° are merged.

Most intense lines, 10 to 80 degrees two-theta, by intensity:
21.74 deg, rel. 100
21.97 deg, rel. 86
34.49 deg, rel. 43
36.99 deg, rel. 18
17.63 deg, rel. 15
39.20 deg, rel. 10

Crystal structure
a = 5.202 Å, b = 5.202 Å, c = 10.408 Å
α = 104.05°, β = 104.05°, γ = 89.25°
Atoms (fractional coordinates):
Li 0.102 0.898 0.500
Li 0.898 0.102 0.000
Co 0.719 0.983 0.675
Co 0.983 0.719 0.175
Si 0.160 0.304 0.332
Si 0.304 0.160 0.832
Si 0.405 0.750 0.005
Si 0.750 0.405 0.505
O 0.044 0.365 0.182
O 0.111 0.793 0.034
O 0.132 0.991 0.331
O 0.365 0.044 0.682
O 0.415 0.469 0.894
O 0.469 0.415 0.394
O 0.483 0.993 0.939
O 0.628 0.763 0.146
O 0.763 0.628 0.646
O 0.793 0.111 0.534
O 0.991 0.132 0.831
O 0.993 0.483 0.439